Starting from a structure optimized by DFT (PBE), the powder diffractogram of K2PaAl2O7 was simulated for Cu Kα (λ = 1.5418 Å).

Lattice parameters (Å, degrees): 5.9799 5.9799 21.4860 90.00 90.00 120.00
Space group R-3m (No. 166, hexagonal axes)
Unique sites:
1 K 0.0000 0.0000 0.2480 (multiplicity 6)
2 Pa 0.0000 0.0000 0.5000 (multiplicity 3)
3 Al 0.0000 0.0000 0.0807 (multiplicity 6)
4 O 0.0000 0.0000 0.0000 (multiplicity 3)
5 O 0.0128 0.5064 0.7758 (multiplicity 18)

The 10 most intense peaks (5 to 70 degrees two-theta), by intensity:
(hkl)	Position (°2θ)	d [Å]	I (rel.)
0 0 3	12.4	7.162	100.0
0 1 2	19.0	4.665	83.9
1 0 4	23.9	3.728	73.9
1 1 0	29.9	2.990	69.3
0 1 5	27.0	3.307	57.6
1 0 1	17.6	5.035	48.1
0 2 4	38.6	2.333	41.2
1 1 3	32.4	2.759	34.7
2 0 8	48.8	1.865	31.8
0 1 8	37.7	2.384	26.7



Starting from a structure optimized by DFT (PBE), the powder diffractogram of Pm7BiBr12 was simulated for Cu Kα (λ = 1.5418 Å).

Lattice parameters (Å, degrees): 15.4807 15.4807 10.0190 90.00 90.00 120.00
Space group R-3 (No. 148, hexagonal axes)
Unique sites:
1 Pm 0.0000 0.0000 0.0000 (multiplicity 3)
2 Pm 0.0495 0.8743 0.3271 (multiplicity 18)
3 Bi 0.0000 0.0000 0.5000 (multiplicity 3)
4 Br 0.0283 0.4396 0.1661 (multiplicity 18)
5 Br 0.0507 0.8681 0.8446 (multiplicity 18)

The 10 most intense peaks (5 to 70 degrees two-theta), by intensity:
(hkl)	Position (°2θ)	d [Å]	I (rel.)
4 -1 2	29.9	2.986	100.0
1 1 0	11.4	7.740	41.1
5 2 0	42.1	2.147	37.7
1 3 4	43.6	2.077	34.8
2 6 2	52.5	1.743	19.4
9 1 2	69.5	1.353	17.1
1 0 1	11.0	8.026	15.6
8 -2 4	62.2	1.493	11.8
3 -1 1	19.6	4.522	7.9
2 0 2	22.2	4.013	7.9



Starting from a structure optimized by DFT (PBE), the powder diffractogram of DyNi5P2 was simulated for Cu Kα (λ = 1.5418 Å).

Lattice parameters (Å, degrees): 3.678 6.462 8.771 90.00 90.00 90.00
Space group Immm (No. 71)
Unique sites:
1 Dy 0.000 0.000 0.000 (multiplicity 2)
2 Ni 0.000 0.190 0.347 (multiplicity 8)
3 Ni 0.000 0.500 0.000 (multiplicity 2)
4 P 0.000 0.500 0.247 (multiplicity 4)

The 10 most intense peaks (5 to 70 degrees two-theta), by intensity:
(hkl)	Position (°2θ)	d [Å]	I (rel.)
1 2 1	38.5	2.340	100.0
1 0 3	39.4	2.289	94.0
0 2 4	50.3	1.814	37.0
0 2 2	34.5	2.601	31.9
2 0 0	49.6	1.839	31.3
0 1 3	33.6	2.664	23.7
1 3 2	53.5	1.711	18.9
1 1 2	34.7	2.583	17.7
1 1 0	27.9	3.197	17.2
0 3 1	43.3	2.092	16.8



Starting from a structure optimized by DFT (PBE), the powder diffractogram of RbHgF3 was simulated for Cu Kα (λ = 1.5418 Å).

Lattice parameters (Å, degrees): 12.438 9.735 6.269 90.00 90.06 90.00
Space group C2/c (No. 15)
Unique sites:
1 Rb 0.000 0.039 0.250 (multiplicity 4)
2 Rb 0.000 0.358 0.750 (multiplicity 4)
3 Hg 0.219 0.344 0.250 (multiplicity 8)
4 F 0.140 0.184 0.998 (multiplicity 8)
5 F 0.140 0.185 0.502 (multiplicity 8)
6 F 0.152 0.500 0.001 (multiplicity 8)

The 10 most intense peaks (5 to 70 degrees two-theta), by intensity:
(hkl)	Position (°2θ)	d [Å]	I (rel.)
2 2 1	27.3	3.269	100.0
0 2 1	23.2	3.840	29.7
2 2 3	49.7	1.834	26.3
0 0 2	28.5	3.136	22.4
2 0 0	14.2	6.219	22.3
4 0 2	40.9	2.208	22.1
5 3 2	55.0	1.671	11.8
5 3 0	46.0	1.974	11.7
0 4 1	39.7	2.268	11.6
1 3 -2	40.7	2.218	11.5



Starting from a structure optimized by DFT (PBE), the powder diffractogram of Ce3Ge7Pd2 was simulated for Cu Kα (λ = 1.5418 Å).

Lattice parameters (Å, degrees): 4.360 4.331 13.199 90.00 99.28 90.00
Space group P2/m (No. 10)
Unique sites:
1 Ce 0.000 0.000 0.000 (multiplicity 1)
2 Ce 0.312 0.500 0.633 (multiplicity 2)
3 Ge 0.132 0.500 0.167 (multiplicity 2)
4 Ge 0.227 0.000 0.450 (multiplicity 2)
5 Ge 0.421 0.000 0.834 (multiplicity 2)
6 Ge 0.500 0.500 0.000 (multiplicity 1)
7 Pd 0.117 0.000 0.260 (multiplicity 2)

The 10 most intense peaks (5 to 70 degrees two-theta), by intensity:
(hkl)	Position (°2θ)	d [Å]	I (rel.)
1 1 2	33.9	2.647	100.0
0 1 4	34.4	2.603	44.1
0 2 0	41.7	2.166	39.5
2 0 -1	41.4	2.180	38.2
2 2 -1	60.2	1.536	26.1
1 1 -2	30.9	2.896	22.7
1 1 -4	38.0	2.366	18.8
1 1 0	29.3	3.052	18.4
1 1 3	37.9	2.373	13.7
2 1 -5	55.0	1.669	11.8



Starting from a structure optimized by DFT (PBE), the powder diffractogram of Pr2ErTe2S2 was simulated for Cu Kα (λ = 1.5418 Å).

Lattice parameters (Å, degrees): 5.033 5.033 16.214 90.00 90.00 90.00
Space group I4/mmm (No. 139)
Unique sites:
1 Pr 0.000 0.000 0.117 (multiplicity 4)
2 Er 0.000 0.000 0.500 (multiplicity 2)
3 Te 0.000 0.000 0.315 (multiplicity 4)
4 S 0.000 0.500 0.000 (multiplicity 4)

The 10 most intense peaks (5 to 70 degrees two-theta), by intensity:
(hkl)	Position (°2θ)	d [Å]	I (rel.)
1 1 0	25.0	3.559	100.0
1 0 5	32.9	2.726	99.7
2 1 5	49.3	1.849	63.8
2 0 0	35.7	2.516	58.7
2 2 0	51.4	1.779	20.5
3 1 0	57.9	1.591	20.0
3 0 5	62.3	1.490	15.7
1 1 4	33.5	2.674	9.3
2 0 6	49.5	1.842	9.0
0 0 2	10.9	8.107	8.1



Starting from a structure optimized by DFT (PBE), the powder diffractogram of ZrScPa was simulated for Cu Kα (λ = 1.5418 Å).

Lattice parameters (Å, degrees): 3.186 17.303 5.286 90.00 90.00 90.00
Space group Cmcm (No. 63)
Unique sites:
1 Zr 0.000 0.106 0.250 (multiplicity 4)
2 Sc 0.000 0.445 0.250 (multiplicity 4)
3 Pa 0.000 0.230 0.750 (multiplicity 4)

The 10 most intense peaks (5 to 70 degrees two-theta), by intensity:
(hkl)	Position (°2θ)	d [Å]	I (rel.)
0 2 0	10.2	8.651	100.0
1 3 1	36.4	2.467	93.5
0 6 1	35.5	2.531	43.8
0 0 2	33.9	2.643	33.8
1 1 1	33.2	2.696	24.4
0 6 0	31.0	2.884	19.7
1 3 3	62.3	1.490	19.5
1 9 0	55.9	1.646	17.6
1 9 2	67.0	1.397	16.2
1 5 1	42.2	2.143	14.2



Starting from a structure optimized by DFT (PBE), the powder diffractogram of BaTeAu2Se4 was simulated for Cu Kα (λ = 1.5418 Å).

Lattice parameters (Å, degrees): 6.944 8.261 8.649 90.00 90.00 90.00
Space group I222 (No. 23)
Unique sites:
1 Ba 0.000 0.000 0.000 (multiplicity 2)
2 Te 0.000 0.000 0.500 (multiplicity 2)
3 Au 0.000 0.500 0.177 (multiplicity 4)
4 Se 0.222 0.187 0.307 (multiplicity 8)

The 10 most intense peaks (5 to 70 degrees two-theta), by intensity:
(hkl)	Position (°2θ)	d [Å]	I (rel.)
1 1 2	26.6	3.354	100.0
2 2 0	33.7	2.658	85.6
1 3 2	41.0	2.203	34.6
0 1 1	14.8	5.974	31.6
1 2 1	27.2	3.284	29.2
3 1 2	45.8	1.981	27.7
0 2 0	21.5	4.130	27.6
0 1 3	32.9	2.722	27.4
1 2 3	40.3	2.238	26.3
2 3 3	53.0	1.727	22.9



Starting from a structure optimized by DFT (PBE), the powder diffractogram of NaAlSiO5 was simulated for Cu Kα (λ = 1.5418 Å).

Lattice parameters (Å, degrees): 7.742 7.742 7.742 90.00 90.00 90.00
Space group F-43m (No. 216)
Unique sites:
1 Na 0.000 0.000 0.000 (multiplicity 4)
2 Al 0.250 0.250 0.750 (multiplicity 4)
3 Si 0.000 0.000 0.500 (multiplicity 4)
4 O 0.121 0.121 0.621 (multiplicity 16)
5 O 0.250 0.250 0.250 (multiplicity 4)

The 10 most intense peaks (5 to 70 degrees two-theta), by intensity:
(hkl)	Position (°2θ)	d [Å]	I (rel.)
2 2 0	32.7	2.737	100.0
1 1 1	19.9	4.470	56.2
4 2 2	58.4	1.580	32.6
4 4 0	68.6	1.369	23.1
2 2 2	40.4	2.235	16.2
3 3 1	51.4	1.776	9.8
3 1 1	38.6	2.334	6.6
4 0 0	46.9	1.935	2.2
2 0 0	23.0	3.871	2.0
5 1 1	62.3	1.490	1.1



Starting from a structure optimized by DFT (PBE), the powder diffractogram of Ti6CN was simulated for Cu Kα (λ = 1.5418 Å).

Lattice parameters (Å, degrees): 5.163 9.010 5.157 90.00 106.91 90.00
Space group C2/m (No. 12)
Unique sites:
1 Ti 0.247 0.157 0.250 (multiplicity 8)
2 Ti 0.249 0.000 0.752 (multiplicity 4)
3 C 0.000 0.500 0.500 (multiplicity 2)
4 N 0.000 0.000 0.000 (multiplicity 2)

The 10 most intense peaks (5 to 70 degrees two-theta), by intensity:
(hkl)	Position (°2θ)	d [Å]	I (rel.)
2 0 0	36.4	2.468	100.0
1 3 -1	37.0	2.432	93.6
1 3 1	42.1	2.148	87.8
3 3 -1	62.3	1.491	47.7
2 0 -2	43.7	2.073	39.7
2 0 2	60.2	1.536	13.6
0 6 0	61.8	1.502	11.6
0 2 0	19.7	4.505	8.4
1 1 -1	23.6	3.766	6.3
0 4 2	55.2	1.664	2.4